(1)
Simulated powder diffraction line list of Ge3Rh for Cu Kα, 1.54184 Å, from DFT lattice parameters and positions (PBE).
Neutral-atom scattering factors, no anomalous dispersion.

Main lines, most intense first (2θ = 10–90°):
- 2θ = 38.46°, d = 2.340 Å, intensity 100
- 2θ = 42.59°, d = 2.123 Å, intensity 37
- 2θ = 75.21°, d = 1.263 Å, intensity 27
- 2θ = 66.68°, d = 1.403 Å, intensity 19
- 2θ = 48.73°, d = 1.869 Å, intensity 13
- 2θ = 61.81°, d = 1.501 Å, intensity 12
- 2θ = 82.41°, d = 1.170 Å, intensity 11
- 2θ = 84.13°, d = 1.151 Å, intensity 10
- 2θ = 24.11°, d = 3.691 Å, intensity 3
- 2θ = 29.76°, d = 3.002 Å, intensity 1

Structural model:
```
data_Ge3Rh
_chemical_formula_sum 'Ge6 Rh2'
_space_group_name_H-M_alt 'I 4/m m m'
_space_group_IT_number 139
_space_group_name_Hall '-I 4 2'
_cell_length_a 4.245
_cell_length_b 4.245
_cell_length_c 7.475
_cell_angle_alpha 90.00
_cell_angle_beta 90.00
_cell_angle_gamma 90.00
loop_
_atom_site_label
_atom_site_type_symbol
_atom_site_fract_x
_atom_site_fract_y
_atom_site_fract_z
Ge1 Ge 0.000 0.000 0.000
Ge2 Ge 0.000 0.500 0.250
Rh1 Rh 0.000 0.000 0.500
```


(2)
Simulated powder diffraction line list of Ge4Rh for Cu Kα, 1.54184 Å, from DFT lattice parameters and positions (PBE).
Neutral-atom scattering factors, no anomalous dispersion.

Main lines, most intense first (2θ = 10–90°):
- 2θ = 45.41°, d = 1.997 Å, intensity 100
- 2θ = 34.74°, d = 2.582 Å, intensity 90
- 2θ = 36.34°, d = 2.472 Å, intensity 59
- 2θ = 44.61°, d = 2.031 Å, intensity 54
- 2θ = 27.71°, d = 3.219 Å, intensity 43
- 2θ = 48.64°, d = 1.872 Å, intensity 41
- 2θ = 37.65°, d = 2.389 Å, intensity 40
- 2θ = 19.71°, d = 4.504 Å, intensity 38
- 2θ = 40.04°, d = 2.252 Å, intensity 36
- 2θ = 30.50°, d = 2.931 Å, intensity 35

Structural model:
```
data_Ge4Rh
_chemical_formula_sum 'Ge12 Rh3'
_space_group_name_H-M_alt 'P 31 2 1'
_space_group_IT_number 152
_space_group_name_Hall 'P 31 2"'
_cell_length_a 6.3028
_cell_length_b 6.3028
_cell_length_c 7.9711
_cell_angle_alpha 90.00
_cell_angle_beta 90.00
_cell_angle_gamma 120.00
loop_
_atom_site_label
_atom_site_type_symbol
_atom_site_fract_x
_atom_site_fract_y
_atom_site_fract_z
Ge1 Ge 0.0000 0.0755 0.1667
Ge2 Ge 0.0000 0.6138 0.1667
Ge3 Ge 0.2227 0.4882 0.9437
Rh1 Rh 0.0000 0.3179 0.6667
```


(3)
Simulated powder diffraction line list of GeRh3 for Cu Kα, 1.54184 Å, from DFT lattice parameters and positions (PBE).
Neutral-atom scattering factors, no anomalous dispersion.

Main lines, most intense first (2θ = 10–90°):
- 2θ = 43.18°, d = 2.095 Å, intensity 100
- 2θ = 41.42°, d = 2.180 Å, intensity 25
- 2θ = 37.66°, d = 2.389 Å, intensity 25
- 2θ = 82.82°, d = 1.165 Å, intensity 19
- 2θ = 76.77°, d = 1.242 Å, intensity 18
- 2θ = 67.97°, d = 1.379 Å, intensity 17
- 2θ = 57.21°, d = 1.610 Å, intensity 14
- 2θ = 84.02°, d = 1.152 Å, intensity 14
- 2θ = 80.40°, d = 1.194 Å, intensity 3
- 2θ = 27.70°, d = 3.220 Å, intensity 2

Structural model:
```
data_GeRh3
_chemical_formula_sum 'Ge2 Rh6'
_space_group_name_H-M_alt 'P 63/m m c'
_space_group_IT_number 194
_space_group_name_Hall '-P 6c 2c'
_cell_length_a 5.5167
_cell_length_b 5.5167
_cell_length_c 4.3598
_cell_angle_alpha 90.00
_cell_angle_beta 90.00
_cell_angle_gamma 120.00
loop_
_atom_site_label
_atom_site_type_symbol
_atom_site_fract_x
_atom_site_fract_y
_atom_site_fract_z
Ge1 Ge 0.3333 0.6667 0.2500
Rh1 Rh 0.1666 0.3333 0.7500
```


Q: Which formula does entry 1 have?
A: Ge3Rh